Entry 1:
Starting from DFT lattice parameters and positions (PBE), the powder X-ray diffraction pattern of MnGe7N10 was simulated for Cu Kα.
No peak broadening, texture or thermal motion is included.

Main lines, sorted by position (10° ≤ 2θ ≤ 80°):
(1 0 0), d = 6.796 Å, 13.0 deg, rel. 54; (0 1 1), d = 5.913 Å, 15.0 deg, rel. 58; (1 1 -1), d = 4.825 Å, 18.4 deg, rel. 94; (2 1 -1), d = 3.152 Å, 28.3 deg, rel. 55; (2 0 2), d = 2.530 Å, 35.5 deg, rel. 100; (1 1 -4), d = 2.413 Å, 37.3 deg, rel. 75

Cell and atoms:
Cell: 7.0140 7.3394 10.3004 Å, 90.00 104.33 90.00°
Fractional coordinates of all 36 atoms:
Mn (0.0000, 0.0782, 0.0000)
Mn (0.0000, 0.9218, 0.5000)
Ge (0.1228, 0.3946, 0.8704)
Ge (0.1228, 0.6054, 0.3704)
Ge (0.3138, 0.3776, 0.1784)
Ge (0.3138, 0.6224, 0.6784)
Ge (0.3453, 0.0205, 0.8162)
Ge (0.3453, 0.9795, 0.3162)
Ge (0.5009, 0.3625, 0.4823)
Ge (0.5009, 0.6375, 0.9823)
Ge (0.5518, 0.0222, 0.1186)
Ge (0.5518, 0.9778, 0.6186)
Ge (0.6710, 0.3558, 0.7910)
Ge (0.6710, 0.6442, 0.2910)
Ge (0.8533, 0.3857, 0.1097)
Ge (0.8533, 0.6143, 0.6097)
N (0.0905, 0.4303, 0.2356)
N (0.0905, 0.5697, 0.7356)
N (0.1388, 0.1455, 0.8475)
N (0.1388, 0.8545, 0.3475)
N (0.3099, 0.1252, 0.1563)
N (0.3100, 0.4845, 0.0169)
N (0.3100, 0.5155, 0.5169)
N (0.3099, 0.8748, 0.6563)
N (0.4510, 0.1188, 0.4674)
N (0.4510, 0.8812, 0.9674)
N (0.5223, 0.4464, 0.3165)
N (0.5223, 0.5536, 0.8165)
N (0.5532, 0.1340, 0.7637)
N (0.5532, 0.8660, 0.2637)
N (0.7198, 0.4017, 0.6232)
N (0.7198, 0.5983, 0.1232)
N (0.7718, 0.1449, 0.1009)
N (0.7718, 0.8551, 0.6009)
N (0.8947, 0.3762, 0.9327)
N (0.8947, 0.6238, 0.4327)


Entry 2:
Starting from DFT lattice parameters and positions (PBE), the powder X-ray diffraction pattern of MnAlGe was simulated for Cu Kα.
No peak broadening, texture or thermal motion is included.

Main lines, sorted by position (10° ≤ 2θ ≤ 80°):
(0 0 1), d = 5.940 Å, 14.9 deg, rel. 24; (1 0 1), d = 3.255 Å, 27.4 deg, rel. 40; (1 1 1), d = 2.497 Å, 36.0 deg, rel. 52; (1 1 2), d = 2.019 Å, 44.9 deg, rel. 100; (2 0 0), d = 1.946 Å, 46.7 deg, rel. 50; (2 0 3), d = 1.388 Å, 67.5 deg, rel. 18

Cell and atoms:
Cell: 3.8913 3.8913 5.9404 Å, 90.00 90.00 90.00°
Fractional coordinates of all 6 atoms:
Mn (0.2500, 0.7500, 0.0000)
Mn (0.7500, 0.2500, 0.0000)
Al (0.2500, 0.2500, 0.2943)
Al (0.7500, 0.7500, 0.7057)
Ge (0.2500, 0.2500, 0.7194)
Ge (0.7500, 0.7500, 0.2806)


What did the first record say?
Starting from DFT lattice parameters and positions (PBE), the powder X-ray diffraction pattern of MnGe7N10 was simulated for Cu Kα.
No peak broadening, texture or thermal motion is included.

Main lines, sorted by position (10° ≤ 2θ ≤ 80°):
(1 0 0), d = 6.796 Å, 13.0 deg, rel. 54; (0 1 1), d = 5.913 Å, 15.0 deg, rel. 58; (1 1 -1), d = 4.825 Å, 18.4 deg, rel. 94; (2 1 -1), d = 3.152 Å, 28.3 deg, rel. 55; (2 0 2), d = 2.530 Å, 35.5 deg, rel. 100; (1 1 -4), d = 2.413 Å, 37.3 deg, rel. 75

Cell and atoms:
Cell: 7.0140 7.3394 10.3004 Å, 90.00 104.33 90.00°
Fractional coordinates of all 36 atoms:
Mn (0.0000, 0.0782, 0.0000)
Mn (0.0000, 0.9218, 0.5000)
Ge (0.1228, 0.3946, 0.8704)
Ge (0.1228, 0.6054, 0.3704)
Ge (0.3138, 0.3776, 0.1784)
Ge (0.3138, 0.6224, 0.6784)
Ge (0.3453, 0.0205, 0.8162)
Ge (0.3453, 0.9795, 0.3162)
Ge (0.5009, 0.3625, 0.4823)
Ge (0.5009, 0.6375, 0.9823)
Ge (0.5518, 0.0222, 0.1186)
Ge (0.5518, 0.9778, 0.6186)
Ge (0.6710, 0.3558, 0.7910)
Ge (0.6710, 0.6442, 0.2910)
Ge (0.8533, 0.3857, 0.1097)
Ge (0.8533, 0.6143, 0.6097)
N (0.0905, 0.4303, 0.2356)
N (0.0905, 0.5697, 0.7356)
N (0.1388, 0.1455, 0.8475)
N (0.1388, 0.8545, 0.3475)
N (0.3099, 0.1252, 0.1563)
N (0.3100, 0.4845, 0.0169)
N (0.3100, 0.5155, 0.5169)
N (0.3099, 0.8748, 0.6563)
N (0.4510, 0.1188, 0.4674)
N (0.4510, 0.8812, 0.9674)
N (0.5223, 0.4464, 0.3165)
N (0.5223, 0.5536, 0.8165)
N (0.5532, 0.1340, 0.7637)
N (0.5532, 0.8660, 0.2637)
N (0.7198, 0.4017, 0.6232)
N (0.7198, 0.5983, 0.1232)
N (0.7718, 0.1449, 0.1009)
N (0.7718, 0.8551, 0.6009)
N (0.8947, 0.3762, 0.9327)
N (0.8947, 0.6238, 0.4327)